The following is a calculated powder diffraction line list of Re4Mo9Rh11. It was derived from a cell relaxed with GGA-PBE, using Cu Kα X-rays.
Peak positions follow from Bragg's law for the DFT cell and can differ from measured ones.

Atomic structure:
```
Re4Mo9Rh11
1.0
6.3549 -10.3387 0.0000
6.3549 10.3387 0.0000
0.0000 0.0000 2.7375
Re Mo Rh
4 9 11
Direct
0.0841 0.2682 0.0000
0.2682 0.0841 0.0000
0.7318 0.9159 0.0000
0.9159 0.7318 0.0000
0.0000 0.0000 0.0000
0.1088 0.6770 0.0000
0.2965 0.4859 0.0000
0.3230 0.8912 0.0000
0.4859 0.2965 0.0000
0.5141 0.7035 0.0000
0.6770 0.1088 0.0000
0.7035 0.5141 0.0000
0.8912 0.3230 0.0000
0.0970 0.4688 0.5000
0.1187 0.8813 0.5000
0.2802 0.2802 0.5000
0.3112 0.6888 0.5000
0.4688 0.0970 0.5000
0.5000 0.5000 0.5000
0.5312 0.9030 0.5000
0.6888 0.3112 0.5000
0.7198 0.7198 0.5000
0.8813 0.1187 0.5000
0.9030 0.5312 0.5000
```

Top 12 peaks for 2θ from 5° to 70°, sorted by position:
37.12°, I 26; 38.54°, I 46; 39.87°, I 30; 40.14°, I 45; 41.71°, I 100; 42.16°, I 70; 43.64°, I 68; 43.78°, I 45; 44.61°, I 21; 49.11°, I 35; 63.54°, I 21; 68.56°, I 19

The following is a calculated powder diffraction line list of Y2In3Cl9. It was derived from a cell relaxed with GGA-PBE, using Cu Kα X-rays.
Peak positions follow from Bragg's law for the DFT cell and can differ from measured ones.

Atomic structure:
```
Y2In3Cl9
1.0
6.5492 3.7812 6.1150
-6.5492 3.7812 6.1150
0.0000 -7.5623 6.1150
Y In Cl
4 6 18
Direct
0.1447 0.1447 0.1447
0.3553 0.3553 0.3553
0.6447 0.6447 0.6447
0.8553 0.8553 0.8553
0.0412 0.7500 0.4588
0.2500 0.5412 0.9588
0.4588 0.0412 0.7500
0.5412 0.9588 0.2500
0.7500 0.4588 0.0412
0.9588 0.2500 0.5412
0.0656 0.2798 0.9227
0.0773 0.9344 0.7202
0.0986 0.4014 0.2500
0.2202 0.4344 0.5773
0.2500 0.0986 0.4014
0.2798 0.9227 0.0656
0.4014 0.2500 0.0986
0.4227 0.7798 0.5656
0.4344 0.5773 0.2202
0.5656 0.4227 0.7798
0.5773 0.2202 0.4344
0.5986 0.7500 0.9014
0.7202 0.0773 0.9344
0.7500 0.9014 0.5986
0.7798 0.5656 0.4227
0.9014 0.5986 0.7500
0.9227 0.0656 0.2798
0.9344 0.7202 0.0773
```

Top 12 peaks for 2θ from 5° to 70°, sorted by position:
12.41°, I 32; 19.86°, I 44; 21.28°, I 25; 23.53°, I 55; 24.97°, I 23; 29.21°, I 26; 30.98°, I 100; 32.31°, I 22; 34.82°, I 19; 39.83°, I 20; 40.36°, I 41; 52.91°, I 19

The following is a calculated powder diffraction line list of CsIn4Ir. It was derived from a cell relaxed with GGA-PBE, using Cu Kα X-rays.
Peak positions follow from Bragg's law for the DFT cell and can differ from measured ones.

Atomic structure:
```
CsIn4Ir
1.0
5.2240 0.0000 0.0000
0.0000 5.2240 0.0000
0.0000 0.0000 8.2500
Cs In Ir
1 4 1
Direct
0.0000 0.0000 0.0000
0.0000 0.5000 0.5000
0.5000 0.0000 0.5000
0.5000 0.5000 0.1809
0.5000 0.5000 0.8191
0.5000 0.5000 0.5000
```

Top 12 peaks for 2θ from 5° to 70°, sorted by position:
10.72°, I 46; 16.97°, I 78; 20.12°, I 59; 21.54°, I 42; 24.09°, I 41; 26.44°, I 49; 34.33°, I 100; 36.94°, I 78; 40.89°, I 33; 48.04°, I 33; 49.34°, I 35; 51.31°, I 60

The following is a calculated powder diffraction line list of YMg14Cd. It was derived from a cell relaxed with GGA-PBE, using Cu Kα X-rays.
Peak positions follow from Bragg's law for the DFT cell and can differ from measured ones.

Atomic structure:
```
YMg14Cd
1.0
6.4856 0.0000 0.0000
-3.2428 5.6167 0.0000
0.0000 0.0000 10.3127
Y Mg Cd
1 14 1
Direct
0.0000 0.0000 0.0000
0.0120 0.5060 0.0000
0.1659 0.3317 0.2546
0.1659 0.3317 0.7454
0.1659 0.8341 0.2546
0.1659 0.8341 0.7454
0.4940 0.5060 0.0000
0.4940 0.9880 0.0000
0.5033 0.0065 0.5000
0.5033 0.4967 0.5000
0.6667 0.3333 0.2369
0.6667 0.3333 0.7631
0.6683 0.8341 0.2546
0.6683 0.8341 0.7454
0.9935 0.4967 0.5000
0.0000 0.0000 0.5000
```

Top 12 peaks for 2θ from 5° to 70°, sorted by position:
15.78°, I 39; 17.20°, I 11; 23.42°, I 30; 31.87°, I 29; 32.62°, I 13; 34.80°, I 24; 36.43°, I 100; 47.90°, I 18; 56.78°, I 17; 63.45°, I 18; 68.34°, I 19; 69.36°, I 14

The following is a calculated powder diffraction line list of La2Pm4Nd2Er. It was derived from a cell relaxed with GGA-PBE, using Cu Kα X-rays.
Peak positions follow from Bragg's law for the DFT cell and can differ from measured ones.

Atomic structure:
```
La2Pm4Nd2Er
1.0
9.5780 -1.8493 0.0000
9.5780 1.8493 0.0000
-4.2404 0.0000 8.8608
La Pm Nd Er
2 4 2 1
Direct
0.1647 0.1647 0.9999
0.8353 0.8353 0.0001
0.0188 0.0188 0.3300
0.3149 0.3149 0.6657
0.6851 0.6851 0.3343
0.9812 0.9812 0.6700
0.3530 0.3530 0.3342
0.6470 0.6470 0.6658
0.5000 0.5000 0.0000
```

Top 12 peaks for 2θ from 5° to 70°, sorted by position:
28.11°, I 36; 28.71°, I 15; 30.26°, I 50; 31.03°, I 100; 32.64°, I 58; 32.75°, I 28; 49.27°, I 13; 49.40°, I 25; 53.17°, I 22; 58.96°, I 30; 59.08°, I 15; 60.46°, I 15

The following is a calculated powder diffraction line list of NaGdTiNbO6F. It was derived from a cell relaxed with GGA-PBE, using Cu Kα X-rays.
Peak positions follow from Bragg's law for the DFT cell and can differ from measured ones.

Atomic structure:
```
NaGdTiNbO6F
1.0
-3.5778 3.7787 5.1589
3.5778 -3.7787 5.1589
3.5778 3.7787 -5.1589
Na Gd Ti Nb O F
2 2 2 2 12 2
Direct
0.5000 0.0000 0.0000
0.5000 0.5000 0.5000
0.0000 0.0000 0.0000
0.5000 0.0000 0.5000
0.0000 0.0000 0.5000
0.0000 0.5000 0.0000
0.0000 0.5000 0.5000
0.5000 0.5000 0.0000
0.0632 0.4130 0.2322
0.0632 0.8310 0.6502
0.0778 0.8278 0.2500
0.3179 0.5679 0.7500
0.3192 0.1690 0.7322
0.3192 0.5870 0.1502
0.6808 0.4130 0.8498
0.6808 0.8310 0.2678
0.6821 0.4321 0.2500
0.9222 0.1722 0.7500
0.9368 0.1690 0.3498
0.9368 0.5870 0.7678
0.3715 0.1215 0.2500
0.6285 0.8785 0.7500
```

Top 12 peaks for 2θ from 5° to 70°, sorted by position:
17.19°, I 58; 23.54°, I 25; 24.89°, I 21; 29.30°, I 100; 30.40°, I 91; 34.52°, I 32; 38.80°, I 32; 48.16°, I 17; 49.82°, I 64; 51.05°, I 16; 58.03°, I 28; 59.96°, I 25

The following is a calculated powder diffraction line list of Rb4U3TlS12. It was derived from a cell relaxed with GGA-PBE, using Cu Kα X-rays.
Peak positions follow from Bragg's law for the DFT cell and can differ from measured ones.

Atomic structure:
```
Rb4U3TlS12
1.0
-5.2372 5.2372 5.2372
5.2372 -5.2372 5.2372
5.2372 5.2372 -5.2372
Rb U Tl S
4 3 1 12
Direct
0.0000 0.0000 0.5000
0.0000 0.5000 0.0000
0.5000 0.0000 0.0000
0.5000 0.5000 0.5000
0.0000 0.5000 0.5000
0.5000 0.0000 0.5000
0.5000 0.5000 0.0000
0.0000 0.0000 0.0000
0.0000 0.2668 0.2668
0.0000 0.7332 0.7332
0.2500 0.5000 0.7500
0.2500 0.7500 0.5000
0.2668 0.0000 0.2668
0.2668 0.2668 0.0000
0.5000 0.2500 0.7500
0.5000 0.7500 0.2500
0.7332 0.0000 0.7332
0.7332 0.7332 0.0000
0.7500 0.2500 0.5000
0.7500 0.5000 0.2500
```

Top 12 peaks for 2θ from 5° to 70°, sorted by position:
11.95°, I 1; 16.93°, I 43; 24.03°, I 100; 34.24°, I 45; 38.43°, I 22; 42.27°, I 47; 49.21°, I 31; 52.41°, I 12; 55.48°, I 22; 61.32°, I 11; 64.11°, I 5; 66.84°, I 25

The following is a calculated powder diffraction line list of Li3Be. It was derived from a cell relaxed with GGA-PBE, using Cu Kα X-rays.
Peak positions follow from Bragg's law for the DFT cell and can differ from measured ones.

Atomic structure:
```
Li3Be
1.0
8.6953 0.0000 0.0000
-4.3477 7.5304 0.0000
0.0000 0.0000 2.6356
Li Be
9 3
Direct
0.0000 0.5000 0.0000
0.1667 0.3333 0.3333
0.1667 0.8333 0.3333
0.3333 0.1667 0.6667
0.5000 0.0000 0.0000
0.5000 0.5000 0.0000
0.6667 0.8333 0.3333
0.8333 0.1667 0.6667
0.8333 0.6667 0.6667
0.0000 0.0000 0.0000
0.3333 0.6667 0.6667
0.6667 0.3333 0.3333
```

Top 4 peaks for 2θ from 5° to 70°, sorted by position:
20.43°, I 6; 41.54°, I 100; 41.84°, I 98; 60.43°, I 33

The following is a calculated powder diffraction line list of CdSe3. It was derived from a cell relaxed with GGA-PBE, using Cu Kα X-rays.
Peak positions follow from Bragg's law for the DFT cell and can differ from measured ones.

Atomic structure:
```
CdSe3
1.0
7.9656 0.0000 0.0000
0.0000 7.0793 0.0000
0.0000 0.0000 7.5704
Cd Se
4 12
Direct
0.1015 0.2500 0.1392
0.3985 0.7500 0.6392
0.6015 0.2500 0.3608
0.8985 0.7500 0.8608
0.1357 0.2500 0.6274
0.1807 0.5033 0.8341
0.1807 0.9967 0.8341
0.3193 0.0033 0.3341
0.3193 0.4967 0.3341
0.3643 0.7500 0.1274
0.6357 0.2500 0.8726
0.6807 0.5033 0.6659
0.6807 0.9967 0.6659
0.8193 0.0033 0.1659
0.8193 0.4967 0.1659
0.8643 0.7500 0.3726
```

Top 12 peaks for 2θ from 5° to 70°, sorted by position:
16.15°, I 19; 25.66°, I 69; 29.00°, I 61; 33.88°, I 15; 35.96°, I 29; 36.54°, I 100; 41.54°, I 19; 44.63°, I 17; 46.78°, I 15; 47.19°, I 15; 51.64°, I 20; 55.28°, I 15